Record 1
Diffraction record for Ac2Si5Ir. The powder XRD pattern is calculated, not measured: it uses a cell relaxed with PBE and CuKα.
Neutral-atom scattering factors, no anomalous dispersion.

Atomic structure:
Cell: 6.6570 6.6570 6.6570 Å, 128.15 128.15 76.39°
Atoms (fractional coordinates):
Ac: 0.0000 0.5000 0.5000
Ac: 0.5000 0.0000 0.5000
Si: 0.0464 0.0464 0.5721
Si: 0.0464 0.4743 0.0000
Si: 0.0944 0.0944 0.0000
Si: 0.4743 0.0464 0.0000
Si: 0.4743 0.4743 0.4279
Ir: 0.7176 0.7176 0.0000

The 10 most intense peaks (5 to 70 degrees two-theta), in order of falling intensity:
d_spacing	I (rel.)
3.235	100.0
1.736	32.4
2.911	30.6
2.544	22.0
2.058	21.3
2.616	16.7
5.087	15.2
1.618	15.0
1.946	14.6
2.208	11.2

=====

Record 2
Diffraction record for TmNpAs2. The powder XRD pattern is calculated, not measured: it uses a cell relaxed with PBE and CuKα.
Neutral-atom scattering factors, no anomalous dispersion.

Atomic structure:
Cell: 7.0829 7.0829 7.0829 Å, 33.47 33.47 33.47°
Atoms (fractional coordinates):
Tm: 0.0000 0.0000 0.0000
Np: 0.5000 0.5000 0.5000
As: 0.2505 0.2505 0.2505
As: 0.7495 0.7495 0.7495

The 10 most intense peaks (5 to 70 degrees two-theta), in order of falling intensity:
d_spacing	I (rel.)
2.887	100.0
2.041	75.2
3.333	36.7
1.666	19.9
1.741	13.9
1.443	12.4
1.670	6.7
1.739	4.6
6.680	2.7
3.478	2.0

=====

Record 3
Diffraction record for La2AlSiRh6. The powder XRD pattern is calculated, not measured: it uses a cell relaxed with PBE and CuKα.
Neutral-atom scattering factors, no anomalous dispersion.

Atomic structure:
Cell: 6.4409 6.4409 6.4409 Å, 120.11 119.88 90.01°
Atoms (fractional coordinates):
La: 0.2501 0.2501 0.0000
La: 0.7499 0.7499 0.0000
Al: 0.5000 0.0000 0.5000
Si: 0.0000 0.5000 0.5000
Rh: 0.2459 0.2539 0.4998
Rh: 0.2460 0.7460 0.5000
Rh: 0.2459 0.7461 0.9919
Rh: 0.7541 0.2539 0.0081
Rh: 0.7540 0.2540 0.5000
Rh: 0.7541 0.7461 0.5002

The 10 most intense peaks (5 to 70 degrees two-theta), in order of falling intensity:
d_spacing	I (rel.)
2.630	100.0
2.277	63.3
1.610	28.2
1.374	19.2
1.372	19.2
1.613	7.1
1.608	7.0
3.221	5.0
1.860	1.4
1.441	0.8

=====

Record 4
Diffraction record for Te5C4. The powder XRD pattern is calculated, not measured: it uses a cell relaxed with PBE and CuKα.
Neutral-atom scattering factors, no anomalous dispersion.

Atomic structure:
Cell: 6.8113 6.8113 6.8113 Å, 102.43 102.43 124.73°
Atoms (fractional coordinates):
Te: 0.0000 0.0000 0.0000
Te: 0.2558 0.2558 0.5116
Te: 0.2558 0.7442 0.0000
Te: 0.7442 0.2558 0.0000
Te: 0.7442 0.7442 0.4884
C: 0.0000 0.2449 0.2449
C: 0.0000 0.7551 0.7551
C: 0.2449 0.0000 0.2449
C: 0.7551 0.0000 0.7551

The 10 most intense peaks (5 to 70 degrees two-theta), in order of falling intensity:
d_spacing	I (rel.)
4.267	100.0
3.017	98.5
2.182	80.6
3.160	75.7
1.768	53.0
2.539	51.5
2.133	48.1
5.078	38.9
6.034	26.0
1.633	25.9